[1]
# PrInBi3
Calculated X-ray diffraction stick pattern, Cu Kα (λ = 1.5418 Å). Input: the PBE geometry in Alexandria.
Neutral-atom scattering factors, no anomalous dispersion.

Atomic structure:
```
data_PrInBi3
_chemical_formula_sum 'Pr4 In4 Bi12'
_cell_length_a 10.433
_cell_length_b 10.433
_cell_length_c 6.148
_cell_angle_alpha 90.09
_cell_angle_beta 90.09
_cell_angle_gamma 77.30
_space_group_name_H-M_alt 'P 1'
_space_group_IT_number 1
loop_
_space_group_symop_operation_xyz
'x,y,z'
loop_
_atom_site_label
_atom_site_type_symbol
_atom_site_fract_x
_atom_site_fract_y
_atom_site_fract_z
Pr1 Pr 0.087 0.343 0.304
Pr2 Pr 0.343 0.087 0.804
Pr3 Pr 0.657 0.913 0.196
Pr4 Pr 0.913 0.657 0.696
In1 In 0.164 0.836 0.750
In2 In 0.456 0.544 0.750
In3 In 0.544 0.456 0.250
In4 In 0.836 0.164 0.250
Bi1 Bi 0.019 0.181 0.822
Bi2 Bi 0.181 0.019 0.322
Bi3 Bi 0.185 0.410 0.806
Bi4 Bi 0.225 0.606 0.394
Bi5 Bi 0.394 0.775 0.106
Bi6 Bi 0.410 0.185 0.306
Bi7 Bi 0.590 0.815 0.694
Bi8 Bi 0.606 0.225 0.894
Bi9 Bi 0.775 0.394 0.606
Bi10 Bi 0.815 0.590 0.194
Bi11 Bi 0.819 0.981 0.678
Bi12 Bi 0.981 0.819 0.178
```

Principal peaks in the range 10 to 90 degrees two-theta, in order of rising 2θ:
two_theta, I_rel
27.38, 28
29.05, 30
29.53, 18
29.68, 37
30.37, 39
31.07, 53
31.82, 100
33.00, 18
36.21, 20
37.47, 51
44.51, 22
51.90, 21

[2]
# SrTl4Si
Calculated X-ray diffraction stick pattern, Cu Kα (λ = 1.5418 Å). Input: the PBE geometry in Alexandria.
Neutral-atom scattering factors, no anomalous dispersion.

Atomic structure:
```
data_SrTl4Si
_chemical_formula_sum 'Sr1 Tl4 Si1'
_cell_length_a 6.392
_cell_length_b 6.392
_cell_length_c 6.392
_cell_angle_alpha 60.00
_cell_angle_beta 60.00
_cell_angle_gamma 60.00
_space_group_name_H-M_alt 'P 1'
_space_group_IT_number 1
loop_
_space_group_symop_operation_xyz
'x,y,z'
loop_
_atom_site_label
_atom_site_type_symbol
_atom_site_fract_x
_atom_site_fract_y
_atom_site_fract_z
Sr1 Sr 0.000 0.000 0.000
Tl1 Tl 0.127 0.624 0.624
Tl2 Tl 0.624 0.127 0.624
Tl3 Tl 0.624 0.624 0.127
Tl4 Tl 0.624 0.624 0.624
Si1 Si 0.250 0.250 0.250
```

Principal peaks in the range 10 to 90 degrees two-theta, in order of rising 2θ:
two_theta, I_rel
16.99, 69
32.86, 100
34.37, 81
39.89, 30
43.65, 20
52.61, 36
57.69, 37
60.60, 16
68.01, 12
68.91, 33
75.04, 8
81.85, 23

[3]
# Li7Cu2Ag3
Calculated X-ray diffraction stick pattern, Cu Kα (λ = 1.5418 Å). Input: the PBE geometry in Alexandria.
Neutral-atom scattering factors, no anomalous dispersion.

Atomic structure:
```
data_Li7Cu2Ag3
_chemical_formula_sum 'Li7 Cu2 Ag3'
_cell_length_a 15.235
_cell_length_b 15.235
_cell_length_c 2.825
_cell_angle_alpha 90.00
_cell_angle_beta 90.00
_cell_angle_gamma 162.62
_space_group_name_H-M_alt 'P 1'
_space_group_IT_number 1
loop_
_space_group_symop_operation_xyz
'x,y,z'
loop_
_atom_site_label
_atom_site_type_symbol
_atom_site_fract_x
_atom_site_fract_y
_atom_site_fract_z
Li1 Li 0.000 0.000 0.000
Li2 Li 0.106 0.894 0.500
Li3 Li 0.270 0.730 0.000
Li4 Li 0.425 0.575 0.000
Li5 Li 0.575 0.425 0.000
Li6 Li 0.730 0.270 0.000
Li7 Li 0.894 0.106 0.500
Cu1 Cu 0.181 0.819 0.000
Cu2 Cu 0.819 0.181 0.000
Ag1 Ag 0.346 0.654 0.500
Ag2 Ag 0.500 0.500 0.500
Ag3 Ag 0.654 0.346 0.500
```

Principal peaks in the range 10 to 90 degrees two-theta, in order of rising 2θ:
two_theta, I_rel
17.67, 100
19.51, 30
28.39, 34
35.77, 10
37.47, 29
38.45, 17
39.14, 21
39.89, 11
40.34, 21
43.05, 24
43.24, 20
43.74, 22

[4]
# ScTeWN2
Calculated X-ray diffraction stick pattern, Cu Kα (λ = 1.5418 Å). Input: the PBE geometry in Alexandria.
Neutral-atom scattering factors, no anomalous dispersion.

Atomic structure:
```
data_ScTeWN2
_chemical_formula_sum 'Sc1 Te1 W1 N2'
_cell_length_a 3.994
_cell_length_b 3.994
_cell_length_c 5.588
_cell_angle_alpha 90.00
_cell_angle_beta 90.00
_cell_angle_gamma 90.00
_space_group_name_H-M_alt 'P 1'
_space_group_IT_number 1
loop_
_space_group_symop_operation_xyz
'x,y,z'
loop_
_atom_site_label
_atom_site_type_symbol
_atom_site_fract_x
_atom_site_fract_y
_atom_site_fract_z
Sc1 Sc 0.000 0.000 0.000
Te1 Te 0.500 0.500 0.000
W1 W 0.500 0.500 0.500
N1 N 0.000 0.500 0.500
N2 N 0.500 0.000 0.500
```

Principal peaks in the range 10 to 90 degrees two-theta, in order of rising 2θ:
two_theta, I_rel
22.26, 100
27.45, 19
31.68, 64
32.03, 43
39.36, 47
45.42, 32
45.68, 47
51.14, 22
56.65, 32
61.63, 26
75.43, 14
84.11, 17

[5]
# Dy3GaOs
Calculated X-ray diffraction stick pattern, Cu Kα (λ = 1.5418 Å). Input: the PBE geometry in Alexandria.
Neutral-atom scattering factors, no anomalous dispersion.

Atomic structure:
```
data_Dy3GaOs
_chemical_formula_sum 'Dy6 Ga2 Os2'
_cell_length_a 9.229
_cell_length_b 8.546
_cell_length_c 5.713
_cell_angle_alpha 77.88
_cell_angle_beta 64.87
_cell_angle_gamma 37.24
_space_group_name_H-M_alt 'P 1'
_space_group_IT_number 1
loop_
_space_group_symop_operation_xyz
'x,y,z'
loop_
_atom_site_label
_atom_site_type_symbol
_atom_site_fract_x
_atom_site_fract_y
_atom_site_fract_z
Dy1 Dy 0.196 0.196 0.804
Dy2 Dy 0.209 0.579 0.421
Dy3 Dy 0.421 0.791 0.209
Dy4 Dy 0.579 0.209 0.791
Dy5 Dy 0.791 0.421 0.579
Dy6 Dy 0.804 0.804 0.196
Ga1 Ga 0.195 0.805 0.805
Ga2 Ga 0.805 0.195 0.195
Os1 Os 0.250 0.250 0.250
Os2 Os 0.750 0.750 0.750
```

Principal peaks in the range 10 to 90 degrees two-theta, in order of rising 2θ:
two_theta, I_rel
11.17, 57
18.75, 21
32.13, 75
32.92, 67
35.71, 100
36.05, 99
38.03, 19
39.05, 50
40.96, 51
49.91, 17
54.76, 18
58.60, 32

[6]
# BaZn2Ag3
Calculated X-ray diffraction stick pattern, Cu Kα (λ = 1.5418 Å). Input: the PBE geometry in Alexandria.
Neutral-atom scattering factors, no anomalous dispersion.

Atomic structure:
```
data_BaZn2Ag3
_chemical_formula_sum 'Ba2 Zn4 Ag6'
_cell_length_a 7.140
_cell_length_b 7.140
_cell_length_c 5.478
_cell_angle_alpha 90.00
_cell_angle_beta 90.00
_cell_angle_gamma 77.96
_space_group_name_H-M_alt 'P 1'
_space_group_IT_number 1
loop_
_space_group_symop_operation_xyz
'x,y,z'
loop_
_atom_site_label
_atom_site_type_symbol
_atom_site_fract_x
_atom_site_fract_y
_atom_site_fract_z
Ba1 Ba 0.179 0.821 0.750
Ba2 Ba 0.821 0.179 0.250
Zn1 Zn 0.289 0.289 0.000
Zn2 Zn 0.289 0.289 0.500
Zn3 Zn 0.711 0.711 0.000
Zn4 Zn 0.711 0.711 0.500
Ag1 Ag 0.034 0.577 0.250
Ag2 Ag 0.423 0.966 0.250
Ag3 Ag 0.435 0.565 0.250
Ag4 Ag 0.565 0.435 0.750
Ag5 Ag 0.577 0.034 0.750
Ag6 Ag 0.966 0.423 0.750
```

Principal peaks in the range 10 to 90 degrees two-theta, in order of rising 2θ:
two_theta, I_rel
12.68, 29
30.36, 77
30.81, 100
30.93, 37
32.26, 40
32.70, 32
38.50, 51
41.66, 18
41.92, 56
42.20, 74
43.48, 28
51.22, 25

[7]
# Ta6TcW
Calculated X-ray diffraction stick pattern, Cu Kα (λ = 1.5418 Å). Input: the PBE geometry in Alexandria.
Neutral-atom scattering factors, no anomalous dispersion.

Atomic structure:
```
data_Ta6TcW
_chemical_formula_sum 'Ta6 Tc1 W1'
_cell_length_a 7.367
_cell_length_b 7.367
_cell_length_c 7.367
_cell_angle_alpha 143.72
_cell_angle_beta 143.72
_cell_angle_gamma 52.25
_space_group_name_H-M_alt 'P 1'
_space_group_IT_number 1
loop_
_space_group_symop_operation_xyz
'x,y,z'
loop_
_atom_site_label
_atom_site_type_symbol
_atom_site_fract_x
_atom_site_fract_y
_atom_site_fract_z
Ta1 Ta 0.120 0.620 0.500
Ta2 Ta 0.248 0.248 0.000
Ta3 Ta 0.380 0.880 0.500
Ta4 Ta 0.620 0.120 0.500
Ta5 Ta 0.752 0.752 0.000
Ta6 Ta 0.880 0.380 0.500
Tc1 Tc 0.500 0.500 0.000
W1 W 0.000 0.000 0.000
```

Principal peaks in the range 10 to 90 degrees two-theta, in order of rising 2θ:
two_theta, I_rel
20.49, 2
30.70, 2
38.89, 100
39.28, 50
55.58, 9
56.76, 17
58.02, 1
70.16, 17
70.94, 35
78.00, 1
83.48, 11
84.47, 6

[8]
# KNaAl2F8
Calculated X-ray diffraction stick pattern, Cu Kα (λ = 1.5418 Å). Input: the PBE geometry in Alexandria.
Neutral-atom scattering factors, no anomalous dispersion.

Atomic structure:
```
data_KNaAl2F8
_chemical_formula_sum 'K1 Na1 Al2 F8'
_cell_length_a 8.079
_cell_length_b 8.079
_cell_length_c 8.079
_cell_angle_alpha 39.00
_cell_angle_beta 39.00
_cell_angle_gamma 39.00
_space_group_name_H-M_alt 'P 1'
_space_group_IT_number 1
loop_
_space_group_symop_operation_xyz
'x,y,z'
loop_
_atom_site_label
_atom_site_type_symbol
_atom_site_fract_x
_atom_site_fract_y
_atom_site_fract_z
K1 K 0.000 0.000 0.000
Na1 Na 0.500 0.500 0.500
Al1 Al 0.247 0.247 0.247
Al2 Al 0.753 0.753 0.753
F1 F 0.072 0.783 0.468
F2 F 0.217 0.532 0.928
F3 F 0.323 0.323 0.323
F4 F 0.468 0.072 0.783
F5 F 0.532 0.928 0.217
F6 F 0.677 0.677 0.677
F7 F 0.783 0.468 0.072
F8 F 0.928 0.217 0.532
```

Principal peaks in the range 10 to 90 degrees two-theta, in order of rising 2θ:
two_theta, I_rel
20.61, 10
24.84, 100
33.22, 33
35.39, 74
36.15, 26
37.49, 19
41.32, 41
41.92, 14
54.50, 15
59.35, 32
60.37, 32
71.50, 11

[9]
# Li5AgIrN2
Calculated X-ray diffraction stick pattern, Cu Kα (λ = 1.5418 Å). Input: the PBE geometry in Alexandria.
Neutral-atom scattering factors, no anomalous dispersion.

Atomic structure:
```
data_Li5AgIrN2
_chemical_formula_sum 'Li5 Ag1 Ir1 N2'
_cell_length_a 4.196
_cell_length_b 4.196
_cell_length_c 7.686
_cell_angle_alpha 90.00
_cell_angle_beta 90.00
_cell_angle_gamma 90.00
_space_group_name_H-M_alt 'P 1'
_space_group_IT_number 1
loop_
_space_group_symop_operation_xyz
'x,y,z'
loop_
_atom_site_label
_atom_site_type_symbol
_atom_site_fract_x
_atom_site_fract_y
_atom_site_fract_z
Li1 Li 0.000 0.000 0.000
Li2 Li 0.000 0.500 0.276
Li3 Li 0.000 0.500 0.724
Li4 Li 0.500 0.000 0.276
Li5 Li 0.500 0.000 0.724
Ag1 Ag 0.500 0.500 0.000
Ir1 Ir 0.000 0.000 0.500
N1 N 0.000 0.000 0.260
N2 N 0.000 0.000 0.740
```

Principal peaks in the range 10 to 90 degrees two-theta, in order of rising 2θ:
two_theta, I_rel
21.17, 9
23.14, 20
24.16, 100
30.12, 32
38.33, 30
41.29, 23
43.12, 15
49.50, 11
50.03, 28
57.11, 10
61.22, 15
75.85, 9

[10]
# RbNiC2N2Cl
Calculated X-ray diffraction stick pattern, Cu Kα (λ = 1.5418 Å). Input: the PBE geometry in Alexandria.
Neutral-atom scattering factors, no anomalous dispersion.

Atomic structure:
```
data_RbNiC2N2Cl
_chemical_formula_sum 'Rb2 Ni2 C4 N4 Cl2'
_cell_length_a 7.504
_cell_length_b 7.504
_cell_length_c 7.504
_cell_angle_alpha 123.72
_cell_angle_beta 123.72
_cell_angle_gamma 83.67
_space_group_name_H-M_alt 'P 1'
_space_group_IT_number 1
loop_
_space_group_symop_operation_xyz
'x,y,z'
loop_
_atom_site_label
_atom_site_type_symbol
_atom_site_fract_x
_atom_site_fract_y
_atom_site_fract_z
Rb1 Rb 0.250 0.750 0.500
Rb2 Rb 0.750 0.250 0.500
Ni1 Ni 0.000 0.000 0.000
Ni2 Ni 0.500 0.500 0.000
C1 C 0.183 0.183 0.366
C2 C 0.183 0.817 0.000
C3 C 0.817 0.183 0.000
C4 C 0.817 0.817 0.634
N1 N 0.300 0.300 0.601
N2 N 0.300 0.700 0.000
N3 N 0.700 0.300 0.000
N4 N 0.700 0.700 0.399
Cl1 Cl 0.276 0.276 0.000
Cl2 Cl 0.724 0.724 0.000
```

Principal peaks in the range 10 to 90 degrees two-theta, in order of rising 2θ:
two_theta, I_rel
23.86, 100
25.16, 64
29.88, 33
32.01, 41
35.88, 52
41.15, 32
43.55, 29
48.84, 37
52.38, 14
58.30, 17
62.07, 14
68.07, 20